For K2Mn2RhO6, a crystal structure in Alexandria, relaxed with GGA+U gives the calculated powder diffraction line list in this record (copper Kα).

Peak list (10 most intense, 10° ≤ 2θ ≤ 80°, sorted by position)
2θ/deg  I (rel.)
14.31  100
19.51  22
28.86  32
34.01  14
35.37  24
37.80  35
39.40  58
52.43  18
58.93  17
61.18  15

Atomic structure:
a = 5.2772 Å, b = 5.2772 Å, c = 6.4712 Å
α = 98.80°, β = 98.80°, γ = 117.01°
Fractional positions:
K (0.1695, 0.8305, 0.0000)
K (0.8305, 0.1695, 0.0000)
Mn (0.3339, 0.6661, 0.5000)
Mn (0.6661, 0.3339, 0.5000)
Rh (0.0000, 0.0000, 0.5000)
O (0.0357, 0.3808, 0.6697)
O (0.2808, 0.2808, 0.3407)
O (0.3808, 0.0357, 0.6697)
O (0.6192, 0.9643, 0.3303)
O (0.7192, 0.7192, 0.6593)
O (0.9643, 0.6192, 0.3303)